Computed XRD peak list
Compound: Zn3Sn3As4O16
Radiation: copper Kα
Structure: a crystal structure in the Materials Project, relaxed with GGA-PBE
Neutral-atom scattering factors, no anomalous dispersion.

Cell and atoms:
```
data_Zn3Sn3As4O16
_chemical_formula_sum 'Zn6 Sn6 As8 O32'
_space_group_name_H-M_alt 'P 1 21/c 1'
_space_group_IT_number 14
_space_group_name_Hall '-P 2ybc'
_cell_length_a 9.4237
_cell_length_b 5.4577
_cell_length_c 17.4044
_cell_angle_alpha 90.00
_cell_angle_beta 119.08
_cell_angle_gamma 90.00
loop_
_atom_site_label
_atom_site_fract_x
_atom_site_fract_y
_atom_site_fract_z
Zn1 0.0000 0.0000 0.0000
Zn2 0.1811 0.0108 0.2424
Sn1 0.4480 0.0655 0.1386
Sn2 0.5000 0.0000 0.5000
As1 0.2149 0.0484 0.8855
As2 0.2381 0.5345 0.1381
O1 0.0496 0.5567 0.2948
O2 0.0801 0.6915 0.0613
O3 0.1944 0.2336 0.1519
O4 0.2053 0.0636 0.9816
O5 0.2802 0.1739 0.3625
O6 0.3100 0.7121 0.2347
O7 0.3811 0.6479 0.4129
O8 0.3994 0.0279 0.6167
```

Principal peaks in the range 2θ = 10–90°, sorted by position:
2θ = 10.74°, intensity 32, hkl 1 0 0
2θ = 25.96°, intensity 88, hkl 2 1 -3
2θ = 29.70°, intensity 100, hkl 1 1 3
2θ = 30.66°, intensity 59, hkl 1 1 -5
2θ = 31.17°, intensity 26, hkl 2 0 -6
2θ = 32.82°, intensity 51, hkl 0 2 0
2θ = 32.95°, intensity 66, hkl 3 1 -3
2θ = 47.84°, intensity 22, hkl 0 0 8